(1)
Computed powder XRD pattern
Compound: BaGaH
Radiation: Cu Kα
Structure: a crystal structure in Alexandria, relaxed with GGA-PBE

Structural model:
Cell lengths 4.6797, 13.1212, 4.8463 Å; angles 90.00, 90.00, 90.00 degrees
Space group Ama2 (No. 40)
Symmetry-distinct sites (fractional):
1 Ba 0.2500 0.1359 0.0000
2 Ga 0.2500 0.4362 0.9977
3 H 0.2500 0.4378 0.3560

The 12 most intense peaks (10 to 90 degrees two-theta), sorted by position:
| Position (°2θ) | I/Imax | index |
| --- | --- | --- |
| 23.3 | 26 | 1 2 0 |
| 27.2 | 26 | 0 4 0 |
| 27.4 | 100 | 1 1 1 |
| 27.5 | 56 | 0 3 1 |
| 33.4 | 22 | 1 4 0 |
| 33.6 | 70 | 1 3 1 |
| 37.1 | 29 | 0 0 2 |
| 38.5 | 26 | 2 0 0 |
| 45.8 | 22 | 1 6 0 |
| 47.9 | 24 | 2 3 1 |
| 52.3 | 19 | 0 7 1 |
| 60.3 | 19 | 1 6 2 |

(2)
Computed powder XRD pattern
Compound: Ba2GaH
Radiation: Cu Kα
Structure: a crystal structure in Alexandria, relaxed with GGA-PBE

Structural model:
Cell lengths 4.3969, 4.3969, 23.8139 Å; angles 90.00, 90.00, 120.00 degrees
Space group R-3m (No. 166, hexagonal axes)
Symmetry-distinct sites (fractional):
1 Ba 0.0000 0.0000 0.2387
2 Ga 0.0000 0.0000 0.0000
3 H 0.0000 0.0000 0.5000

The 12 most intense peaks (10 to 90 degrees two-theta), sorted by position:
| Position (°2θ) | I/Imax | index |
| --- | --- | --- |
| 22.4 | 14 | 0 0 6 |
| 23.7 | 11 | 1 0 1 |
| 24.5 | 44 | 0 1 2 |
| 27.8 | 100 | 1 0 4 |
| 30.0 | 20 | 0 1 5 |
| 38.4 | 34 | 0 1 8 |
| 41.1 | 37 | 1 1 0 |
| 47.3 | 12 | 1 1 6 |
| 50.3 | 19 | 0 2 4 |
| 54.2 | 15 | 1 1 9 |
| 63.1 | 11 | 1 1 12 |
| 66.9 | 16 | 2 1 4 |

(3)
Computed powder XRD pattern
Compound: BaGaH5
Radiation: Cu Kα
Structure: a crystal structure in Alexandria, relaxed with GGA-PBE

Structural model:
Cell lengths 4.9830, 4.5721, 8.5815 Å; angles 90.00, 90.19, 90.00 degrees
Space group P2_1 (No. 4)
Symmetry-distinct sites (fractional):
1 Ba 0.2458 0.0000 0.3387
2 Ga 0.2568 0.9125 0.8574
3 H 0.0068 0.0162 0.7521
4 H 0.2399 0.0343 0.0283
5 H 0.2532 0.5031 0.5164
6 H 0.2557 0.5629 0.8420
7 H 0.4741 0.5147 0.2292

The 12 most intense peaks (10 to 90 degrees two-theta), sorted by position:
| Position (°2θ) | I/Imax | index |
| --- | --- | --- |
| 20.6 | 13 | 1 0 1 |
| 22.0 | 19 | 0 1 1 |
| 26.5 | 100 | 1 1 0 |
| 27.4 | 86 | 1 0 -2 |
| 28.5 | 77 | 0 1 2 |
| 33.8 | 14 | 1 1 2 |
| 36.0 | 24 | 2 0 0 |
| 39.4 | 15 | 0 2 0 |
| 44.9 | 15 | 1 2 1 |
| 46.5 | 19 | 2 1 -2 |
| 46.7 | 18 | 2 1 2 |
| 48.7 | 26 | 1 2 -2 |

(4)
Computed powder XRD pattern
Compound: Ba2Ga2HgH6
Radiation: Cu Kα
Structure: a crystal structure in Alexandria, relaxed with GGA-PBE

Structural model:
Cell lengths 11.9138, 4.8936, 8.1888 Å; angles 90.00, 126.20, 90.00 degrees
Space group C2/m (No. 12)
Symmetry-distinct sites (fractional):
1 Ba 0.2385 0.0000 0.2444
2 Ga 0.0165 0.5000 0.8629
3 Hg 0.0000 0.0000 0.5000
4 H 0.1067 0.2437 0.8668
5 H 0.1460 0.5000 0.3476

The 12 most intense peaks (10 to 90 degrees two-theta), sorted by position:
| Position (°2θ) | I/Imax | index |
| --- | --- | --- |
| 21.9 | 43 | 2 0 -2 |
| 27.4 | 100 | 1 1 1 |
| 29.1 | 72 | 3 1 -1 |
| 29.2 | 15 | 1 1 -2 |
| 30.9 | 21 | 3 1 -2 |
| 33.3 | 12 | 2 0 -3 |
| 36.7 | 27 | 0 2 0 |
| 37.4 | 23 | 4 0 0 |
| 40.6 | 12 | 1 1 -3 |
| 43.2 | 16 | 2 2 -2 |
| 53.4 | 17 | 4 2 0 |
| 60.6 | 30 | 5 1 1 |

(5)
Computed powder XRD pattern
Compound: Ba2LiGaH
Radiation: Cu Kα
Structure: a crystal structure in Alexandria, relaxed with GGA-PBE

Structural model:
Cell lengths 7.5641, 4.3918, 9.2842 Å; angles 90.00, 107.33, 90.00 degrees
Space group P2_1/m (No. 11)
Symmetry-distinct sites (fractional):
1 Ba 0.1930 0.2500 0.4107
2 Ba 0.2232 0.2500 0.9522
3 Li 0.4351 0.7500 0.2487
4 Ga 0.3386 0.7500 0.7116
5 H 0.1724 0.7500 0.1722

The 12 most intense peaks (10 to 90 degrees two-theta), sorted by position:
| Position (°2θ) | I/Imax | index |
| --- | --- | --- |
| 22.6 | 14 | 0 1 1 |
| 23.7 | 51 | 1 1 0 |
| 24.7 | 40 | 2 0 0 |
| 26.5 | 28 | 1 0 2 |
| 26.8 | 32 | 2 0 -2 |
| 28.7 | 100 | 1 1 -2 |
| 32.1 | 25 | 2 1 0 |
| 33.6 | 19 | 1 1 2 |
| 33.8 | 15 | 2 1 -2 |
| 38.8 | 19 | 1 0 -4 |
| 41.1 | 19 | 0 2 0 |
| 42.3 | 14 | 3 1 -2 |

(6)
Computed powder XRD pattern
Compound: BaLiGaH6
Radiation: Cu Kα
Structure: a crystal structure in Alexandria, relaxed with GGA-PBE

Structural model:
Cell lengths 4.9651, 4.9651, 5.3294 Å; angles 90.00, 90.00, 120.00 degrees
Space group P312 (No. 149)
Symmetry-distinct sites (fractional):
1 Ba 0.0000 0.0000 0.0000
2 Li 0.3333 0.6667 0.5000
3 Ga 0.6667 0.3333 0.5000
4 H 0.4063 0.0243 0.6956

The 12 most intense peaks (10 to 90 degrees two-theta), sorted by position:
| Position (°2θ) | I/Imax | index |
| --- | --- | --- |
| 20.7 | 33 | 1 0 0 |
| 26.6 | 100 | 1 0 1 |
| 33.6 | 11 | 0 0 2 |
| 36.2 | 29 | 1 1 0 |
| 39.8 | 13 | 1 0 2 |
| 45.5 | 23 | 2 0 1 |
| 50.2 | 23 | 2 -1 2 |
| 56.0 | 12 | 1 0 3 |
| 59.5 | 20 | 3 -1 1 |
| 68.5 | 7 | 2 0 3 |
| 80.0 | 9 | 2 1 3 |
| 83.0 | 8 | 3 1 1 |